This entry pairs a crystal structure of Tb5Tm2 with its theoretical powder X-ray diffraction pattern. Radiation: Cu Kα. Structure: DFT lattice parameters and positions (GGA-PBE).
Neutral-atom scattering factors, no anomalous dispersion.

Most intense lines, 2θ from 5° to 70°, by angle:
- 2θ 31.8, d = 2.818 Å, I 100
- 2θ 45.5, d = 1.993 Å, I 18
- 2θ 56.4, d = 1.631 Å, I 10
- 2θ 56.6, d = 1.626 Å, I 29
- 2θ 66.2, d = 1.411 Å, I 6
- 2θ 66.4, d = 1.407 Å, I 6

Structural model:
```
data_Tb5Tm2
_chemical_formula_sum 'Tb15 Tm6'
_symmetry_space_group_name_H-M 'R -3 m'
_symmetry_Int_Tables_number 166
_symmetry_space_group_name_Hall '-R 3 2"'
_cell_length_a 5.6279
_cell_length_b 5.6279
_cell_length_c 24.2242
_cell_angle_alpha 90.00
_cell_angle_beta 90.00
_cell_angle_gamma 120.00
loop_
_atom_site_label
_atom_site_type_symbol
_atom_site_fract_x
_atom_site_fract_y
_atom_site_fract_z
Tb1 Tb 0.0000 0.0000 0.0000
Tb2 Tb 0.0000 0.0000 0.2879
Tb3 Tb 0.0000 0.0000 0.4302
Tm1 Tm 0.0000 0.0000 0.1459
```


This entry pairs a crystal structure of BaTl4 with its theoretical powder X-ray diffraction pattern. Radiation: Cu Kα. Structure: DFT lattice parameters and positions (GGA-PBE).
Neutral-atom scattering factors, no anomalous dispersion.

Most intense lines, 2θ from 5° to 70°, by angle:
- 2θ 30.3, d = 2.948 Å, I 88
- 2θ 30.8, d = 2.903 Å, I 100
- 2θ 32.7, d = 2.740 Å, I 85
- 2θ 33.8, d = 2.650 Å, I 18
- 2θ 40.5, d = 2.230 Å, I 17
- 2θ 46.9, d = 1.938 Å, I 29
- 2θ 56.9, d = 1.618 Å, I 15
- 2θ 57.2, d = 1.611 Å, I 18
- 2θ 60.9, d = 1.521 Å, I 30
- 2θ 62.0, d = 1.496 Å, I 17

Structural model:
```
data_BaTl4
_chemical_formula_sum 'Ba4 Tl16'
_symmetry_space_group_name_H-M 'C m c m'
_symmetry_Int_Tables_number 63
_symmetry_space_group_name_Hall '-C 2c 2'
_cell_length_a 5.4770
_cell_length_b 17.1209
_cell_length_c 7.1455
_cell_angle_alpha 90.00
_cell_angle_beta 90.00
_cell_angle_gamma 90.00
loop_
_atom_site_label
_atom_site_type_symbol
_atom_site_fract_x
_atom_site_fract_y
_atom_site_fract_z
Ba1 Ba 0.0000 0.0992 0.2500
Tl1 Tl 0.0000 0.1188 0.7500
Tl2 Tl 0.0000 0.3022 0.0027
Tl3 Tl 0.0000 0.5000 0.0000
```


This entry pairs a crystal structure of ZnHgH2S with its theoretical powder X-ray diffraction pattern. Radiation: Cu Kα. Structure: DFT lattice parameters and positions (GGA-PBE).
Neutral-atom scattering factors, no anomalous dispersion.

Most intense lines, 2θ from 5° to 70°, by angle:
- 2θ 15.7, d = 5.630 Å, I 100
- 2θ 29.3, d = 3.050 Å, I 46
- 2θ 31.8, d = 2.815 Å, I 34
- 2θ 35.0, d = 2.566 Å, I 51
- 2θ 38.6, d = 2.335 Å, I 50
- 2θ 48.0, d = 1.896 Å, I 41
- 2θ 50.3, d = 1.814 Å, I 18
- 2θ 53.0, d = 1.727 Å, I 19
- 2θ 59.3, d = 1.559 Å, I 13
- 2θ 60.7, d = 1.525 Å, I 21

Structural model:
```
data_ZnHgH2S
_chemical_formula_sum 'Zn1 Hg1 H2 S1'
_symmetry_space_group_name_H-M 'P 4/m m m'
_symmetry_Int_Tables_number 123
_symmetry_space_group_name_Hall '-P 4 2'
_cell_length_a 3.6290
_cell_length_b 3.6290
_cell_length_c 5.6296
_cell_angle_alpha 90.00
_cell_angle_beta 90.00
_cell_angle_gamma 90.00
loop_
_atom_site_label
_atom_site_type_symbol
_atom_site_fract_x
_atom_site_fract_y
_atom_site_fract_z
Zn1 Zn 0.0000 0.0000 0.0000
Hg1 Hg 0.5000 0.5000 0.0000
H1 H 0.0000 0.5000 0.5000
S1 S 0.0000 0.0000 0.5000
```


This entry pairs a crystal structure of Na3NdF6 with its theoretical powder X-ray diffraction pattern. Radiation: Cu Kα. Structure: DFT lattice parameters and positions (GGA-PBE).
Neutral-atom scattering factors, no anomalous dispersion.

Most intense lines, 2θ from 5° to 70°, by angle:
- 2θ 14.9, d = 5.960 Å, I 69
- 2θ 16.2, d = 5.482 Å, I 100
- 2θ 23.2, d = 3.840 Å, I 48
- 2θ 28.9, d = 3.087 Å, I 30
- 2θ 30.0, d = 2.980 Å, I 31
- 2θ 30.3, d = 2.947 Å, I 68
- 2θ 37.4, d = 2.406 Å, I 30
- 2θ 40.3, d = 2.238 Å, I 28
- 2θ 44.7, d = 2.028 Å, I 32
- 2θ 53.5, d = 1.714 Å, I 34

Structural model:
```
data_Na3NdF6
_chemical_formula_sum 'Na6 Nd2 F12'
_symmetry_space_group_name_H-M 'P n n m'
_symmetry_Int_Tables_number 58
_cell_length_a 6.1739
_cell_length_b 11.9197
_cell_length_c 4.0559
_cell_angle_alpha 90.00
_cell_angle_beta 90.00
_cell_angle_gamma 90.00
loop_
_symmetry_equiv_pos_as_xyz
'x,y,z'
'-x,-y,-z'
'-x,-y,z'
'x,y,-z'
'x+1/2,-y+1/2,-z+1/2'
'-x+1/2,y+1/2,z+1/2'
'-x+1/2,y+1/2,-z+1/2'
'x+1/2,-y+1/2,z+1/2'
loop_
_atom_site_label
_atom_site_type_symbol
_atom_site_fract_x
_atom_site_fract_y
_atom_site_fract_z
Na1 Na 0.0000 0.0000 0.0000
Na2 Na 0.0636 0.2393 0.5000
Nd1 Nd 0.0000 0.5000 0.0000
F1 F 0.0592 0.7006 0.0000
F2 F 0.1551 0.9152 0.5000
F3 F 0.1696 0.5628 0.5000
```